Starting from the PBE geometry in the Materials Project, the powder X-ray diffraction pattern of PmAlAg2 was calculated for CuKα.
Intensities are scaled so that the largest is 100.

Principal peaks in the range 10° ≤ 2θ ≤ 90°, low angle first:
22.09°, I 21
25.56°, I 2
36.46°, I 100
43.04°, I 11
52.51°, I 17
57.64°, I 5
59.29°, I 1
65.62°, I 34
70.16°, I 4
77.46°, I 11
81.74°, I 4
88.77°, I 15

Cell and atoms:
```
data_PmAlAg2
_cell_length_a 6.9704
_cell_length_b 6.9704
_cell_length_c 6.9704
_cell_angle_alpha 90.00
_cell_angle_beta 90.00
_cell_angle_gamma 90.00
_symmetry_space_group_name_H-M 'F m -3 m'
_symmetry_Int_Tables_number 225
_symmetry_space_group_name_Hall '-F 4 2 3'
loop_
_atom_site_label
_atom_site_type_symbol
_atom_site_fract_x
_atom_site_fract_y
_atom_site_fract_z
Pm1 Pm 0.0000 0.0000 0.0000
Al1 Al 0.0000 0.0000 0.5000
Ag1 Ag 0.2500 0.2500 0.2500
```